Starting from DFT lattice parameters and positions (PBE+U), the powder XRD pattern of MgCo2Te2Mo2O12 was calculated for λ = 1.5418 Å (Cu Kα).

Main lines, in order of rising 2θ (2θ from 10° to 80°):
2θ/deg  I (rel.)
17.4  96
23.9  47
24.4  72
29.1  100
30.1  93
30.2  90
30.4  94
33.7  44
35.2  63
49.0  33

a = 5.106 Å, b = 5.318 Å, c = 10.194 Å
α = 87.94°, β = 88.39°, γ = 88.83°
Space group P1 (No. 1)
Inequivalent atoms, fractional coordinates:
Mg: 0.000 0.000 0.000
Co: 0.485 0.513 0.474
Co: 0.978 0.020 0.519
Te: 0.505 0.018 0.280
Te: 0.988 0.516 0.713
Mo: 0.017 0.494 0.235
Mo: 0.507 0.044 0.770
O: 0.123 0.251 0.121
O: 0.190 0.693 0.580
O: 0.236 0.214 0.671
O: 0.255 0.203 0.392
O: 0.275 0.867 0.880
O: 0.277 0.700 0.307
O: 0.709 0.835 0.408
O: 0.732 0.171 0.888
O: 0.732 0.328 0.329
O: 0.734 0.822 0.675
O: 0.751 0.325 0.609
O: 0.869 0.742 0.126